SrLiNiGe: computed powder XRD pattern (Cu Kα (λ = 1.5418 Å)), based on a DFT-relaxed cell (GGA-PBE, Alexandria).
Intensities are scaled so that the largest is 1000.

Peak list (6 most intense, 2θ from 10° to 90°, sorted by position)
16.7°, I 363
26.7°, I 912
33.2°, I 1000
33.9°, I 471
42.7°, I 961
55.5°, I 659

```
SrLiNiGe
1.0
2.1199 1.2239 5.2957
-2.1199 1.2239 5.2957
0.0000 -2.4478 5.2957
Sr Li Ni Ge
1 1 1 1
Cartesian
0.0000 0.0000 0.0000
0.0000 0.0000 3.0140
0.0000 0.0000 12.7761
0.0000 0.0000 7.6014
```

Zn7Cu2Au: computed powder XRD pattern (Cu Kα (λ = 1.5418 Å)), based on a DFT-relaxed cell (GGA-PBE, Alexandria).
Intensities are scaled so that the largest is 1000.

Peak list (6 most intense, 2θ from 10° to 90°, sorted by position)
25.7°, I 457
35.7°, I 367
42.6°, I 1000
42.8°, I 859
62.0°, I 274
78.1°, I 273

```
Zn7Cu2Au
1.0
4.2484 0.0000 0.0000
-2.1242 3.6792 0.0000
0.0000 0.0000 10.3116
Zn Cu Au
7 2 1
Cartesian
0.0000 0.0000 0.0000
0.0000 0.0000 2.5891
0.0000 0.0000 5.4996
0.0000 2.4528 1.3892
0.0000 2.4528 7.1648
2.1242 1.2264 3.5913
2.1242 1.2264 8.7217
0.0000 0.0000 7.9091
2.1242 1.2264 1.0170
0.0000 2.4528 4.4114
```

Nd7CuCl12: computed powder XRD pattern (Cu Kα (λ = 1.5418 Å)), based on a DFT-relaxed cell (GGA-PBE, Alexandria).
Intensities are scaled so that the largest is 1000.

Peak list (6 most intense, 2θ from 10° to 90°, sorted by position)
11.4°, I 223
11.9°, I 707
26.6°, I 189
31.2°, I 1000
43.9°, I 347
45.3°, I 340

```
Nd7CuCl12
1.0
7.4288 4.2890 3.2224
-7.4288 4.2890 3.2224
0.0000 -8.5780 3.2224
Nd Cu Cl
7 1 12
Cartesian
0.0000 0.0000 0.0000
-2.2072 -0.5232 3.2238
1.5567 -1.6499 3.2238
0.6506 2.1731 3.2238
-0.6505 -2.1731 6.4434
-1.5567 1.6499 6.4434
2.2072 0.5231 6.4434
0.0000 0.0000 4.8336
-0.6739 -2.3075 1.4995
-1.6614 1.7374 1.4995
-2.8700 -2.8165 4.7844
-3.8742 1.0772 4.8828
2.3353 0.5701 1.4995
1.0042 -3.8937 4.8828
-1.0042 3.8937 4.7844
-2.3353 -0.5701 8.1677
3.8742 -1.0772 4.7844
2.8700 2.8165 4.8828
1.6614 -1.7374 8.1677
0.6739 2.3075 8.1677
```